Theoretical XRD peak list of KMo2Os for Cu Ka, from a crystal structure in Alexandria, relaxed with PBE.
Peak positions follow from Bragg's law for the DFT cell and can differ from measured ones.

The 10 most intense peaks (2θ from 10° to 90°), in order of falling intensity:
| hkl | d_spacing | 2theta | Rel. int. |
| --- | --- | --- | --- |
| 0 0 1 | 8.213 | 10.8 | 100 |
| 0 1 2 | 2.839 | 31.5 | 20 |
| 0 1 3 | 2.246 | 40.2 | 17 |
| 1 1 -1 | 2.215 | 40.7 | 16 |
| 1 1 0 | 2.269 | 39.7 | 15 |
| 1 1 1 | 2.161 | 41.8 | 11 |
| 0 1 4 | 1.820 | 50.1 | 10 |
| 0 0 2 | 4.106 | 21.6 | 9 |
| 0 2 0 | 1.965 | 46.2 | 7 |
| 1 0 -3 | 2.010 | 45.1 | 7 |

Structure:
Cell lengths 2.785, 3.930, 8.227 Å; angles 90.00, 93.32, 90.00 degrees
Space group P2/m (No. 10)
One atom of each set of equivalent atoms:
K  0.000  0.000  0.000
Mo  0.023  0.500  0.649
Os  0.500  0.000  0.500



Theoretical XRD peak list of KMo2P for Cu Ka, from a crystal structure in Alexandria, relaxed with PBE.
Peak positions follow from Bragg's law for the DFT cell and can differ from measured ones.

The 10 most intense peaks (2θ from 10° to 90°), in order of falling intensity:
| hkl | d_spacing | 2theta | Rel. int. |
| --- | --- | --- | --- |
| 0 0 1 | 7.167 | 12.3 | 100 |
| 1 1 1 | 2.687 | 33.3 | 40 |
| 3 1 -1 | 2.051 | 44.2 | 26 |
| 0 0 2 | 3.584 | 24.8 | 19 |
| 2 0 -2 | 2.922 | 30.6 | 18 |
| 1 1 2 | 2.225 | 40.5 | 17 |
| 4 0 1 | 1.889 | 48.2 | 13 |
| 1 1 3 | 1.812 | 50.4 | 13 |
| 4 0 0 | 2.043 | 44.3 | 11 |
| 2 2 -4 | 1.174 | 82.1 | 8 |

Structure:
Cell lengths 8.269, 3.180, 7.250 Å; angles 90.00, 98.68, 90.00 degrees
Space group Cm (No. 8)
One atom of each set of equivalent atoms:
K  0.000  0.000  0.000
Mo  0.210  0.000  0.602
Mo  0.481  0.000  0.468
P  0.246  0.500  0.344



Theoretical XRD peak list of K3Pu3MoS8 for Cu Ka, from a crystal structure in Alexandria, relaxed with PBE.
Peak positions follow from Bragg's law for the DFT cell and can differ from measured ones.

The 10 most intense peaks (2θ from 10° to 90°), in order of falling intensity:
| hkl | d_spacing | 2theta | Rel. int. |
| --- | --- | --- | --- |
| 0 0 1 | 7.496 | 11.8 | 100 |
| 4 0 0 | 2.929 | 30.5 | 75 |
| 4 0 -1 | 3.392 | 26.3 | 33 |
| 2 2 -3 | 2.345 | 38.4 | 24 |
| 2 2 0 | 3.286 | 27.1 | 22 |
| 0 0 2 | 3.749 | 23.7 | 19 |
| 2 2 2 | 2.176 | 41.5 | 18 |
| 6 2 -2 | 1.978 | 45.9 | 16 |
| 6 2 -3 | 1.913 | 47.5 | 13 |
| 2 2 3 | 1.756 | 52.1 | 12 |

Structure:
Cell lengths 13.691, 7.942, 8.769 Å; angles 90.00, 121.26, 90.00 degrees
Space group C2/m (No. 12)
One atom of each set of equivalent atoms:
K  0.000  0.000  0.000
K  0.250  0.250  0.000
Pu  0.000  0.500  0.500
Pu  0.250  0.250  0.500
Mo  0.000  0.000  0.500
S  0.015  0.231  0.312
S  0.218  0.000  0.687
S  0.236  0.500  0.705



Theoretical XRD peak list of KRb2MoSe4 for Cu Ka, from a crystal structure in Alexandria, relaxed with PBE.
Peak positions follow from Bragg's law for the DFT cell and can differ from measured ones.

The 10 most intense peaks (2θ from 10° to 90°), in order of falling intensity:
| hkl | d_spacing | 2theta | Rel. int. |
| --- | --- | --- | --- |
| 1 1 2 | 3.535 | 25.2 | 100 |
| 1 2 1 | 3.492 | 25.5 | 66 |
| 3 1 2 | 2.292 | 39.3 | 64 |
| 2 2 0 | 3.012 | 29.7 | 37 |
| 1 0 1 | 6.097 | 14.5 | 36 |
| 1 1 0 | 6.024 | 14.7 | 28 |
| 2 0 4 | 1.942 | 46.8 | 25 |
| 3 3 0 | 2.009 | 45.1 | 22 |
| 2 4 0 | 1.905 | 47.7 | 21 |
| 1 5 2 | 1.560 | 59.2 | 19 |

Structure:
Cell lengths 8.519, 8.519, 8.730 Å; angles 90.00, 90.00, 90.00 degrees
Space group I-4 (No. 82)
One atom of each set of equivalent atoms:
K  0.000  0.000  0.000
Rb  0.000  0.000  0.500
Rb  0.000  0.500  0.250
Mo  0.000  0.500  0.750
Se  0.157  0.670  0.903



Theoretical XRD peak list of KMo9S9 for Cu Ka, from a crystal structure in Alexandria, relaxed with PBE.
Peak positions follow from Bragg's law for the DFT cell and can differ from measured ones.

The 10 most intense peaks (2θ from 10° to 90°), in order of falling intensity:
| hkl | d_spacing | 2theta | Rel. int. |
| --- | --- | --- | --- |
| 1 0 0 | 7.861 | 11.3 | 100 |
| 2 1 3 | 2.456 | 36.6 | 17 |
| 3 1 3 | 1.951 | 46.6 | 14 |
| 2 2 3 | 2.014 | 45.0 | 13 |
| 0 0 6 | 2.182 | 41.4 | 10 |
| 2 1 0 | 2.971 | 30.1 | 8 |
| 1 0 6 | 2.104 | 43.0 | 7 |
| 3 1 9 | 1.210 | 79.1 | 5 |
| 3 0 3 | 2.247 | 40.1 | 4 |
| 3 2 3 | 1.667 | 55.1 | 3 |

Structure:
Cell lengths 9.0773, 9.0773, 13.0998 Å; angles 90.00, 90.00, 120.00 degrees
Space group P6_3/m (No. 176)
One atom of each set of equivalent atoms:
K  0.3333  0.6667  0.2500
Mo  0.0330  0.1878  0.2500
Mo  0.0344  0.1897  0.5832
S  0.0595  0.3430  0.7500
S  0.0632  0.3441  0.0839



Theoretical XRD peak list of K2Mo9S11 for Cu Ka, from a crystal structure in Alexandria, relaxed with PBE.
Peak positions follow from Bragg's law for the DFT cell and can differ from measured ones.

The 10 most intense peaks (2θ from 10° to 90°), in order of falling intensity:
| hkl | d_spacing | 2theta | Rel. int. |
| --- | --- | --- | --- |
| 0 1 2 | 7.416 | 11.9 | 100 |
| 2 2 9 | 2.027 | 44.7 | 31 |
| 2 1 7 | 2.642 | 33.9 | 14 |
| 1 0 16 | 2.179 | 41.4 | 11 |
| 1 0 4 | 6.044 | 14.7 | 10 |
| 1 3 7 | 2.067 | 43.8 | 10 |
| 1 2 2 | 3.030 | 29.5 | 10 |
| 3 2 7 | 1.755 | 52.1 | 8 |
| 0 1 8 | 3.955 | 22.5 | 8 |
| 3 1 5 | 2.153 | 42.0 | 7 |

Structure:
Cell lengths 9.3887, 9.3887, 36.1875 Å; angles 90.00, 90.00, 120.00 degrees
Space group R-3c (No. 167, hexagonal axes)
One atom of each set of equivalent atoms:
K  0.0000  0.0000  0.0535
Mo  0.0000  0.1674  0.2500
Mo  0.0102  0.1691  0.8131
S  0.0000  0.0000  0.1361
S  0.0000  0.3041  0.7500
S  0.0195  0.3748  0.8589



Theoretical XRD peak list of K3Tb3MoS8 for Cu Ka, from a crystal structure in Alexandria, relaxed with PBE.
Peak positions follow from Bragg's law for the DFT cell and can differ from measured ones.

The 10 most intense peaks (2θ from 10° to 90°), in order of falling intensity:
| hkl | d_spacing | 2theta | Rel. int. |
| --- | --- | --- | --- |
| 0 0 3 | 7.520 | 11.8 | 100 |
| 0 2 4 | 2.918 | 30.6 | 93 |
| 2 0 8 | 2.173 | 41.6 | 33 |
| 2 2 0 | 1.968 | 46.1 | 29 |
| 2 0 2 | 3.264 | 27.3 | 27 |
| 0 2 1 | 3.371 | 26.4 | 27 |
| 0 2 7 | 2.342 | 38.4 | 25 |
| 2 2 3 | 1.904 | 47.8 | 18 |
| 0 0 6 | 3.760 | 23.7 | 16 |
| 0 0 12 | 1.881 | 48.4 | 16 |

Structure:
Cell lengths 7.8737, 7.8737, 22.5590 Å; angles 90.00, 90.00, 120.00 degrees
Space group R-3m (No. 166, hexagonal axes)
One atom of each set of equivalent atoms:
K  0.0000  0.5000  0.0000
Tb  0.0000  0.5000  0.5000
Mo  0.0000  0.0000  0.5000
S  0.0000  0.0000  0.2346
S  0.0271  0.5136  0.2297



Theoretical XRD peak list of KTcMoS3 for Cu Ka, from a crystal structure in Alexandria, relaxed with PBE.
Peak positions follow from Bragg's law for the DFT cell and can differ from measured ones.

The 10 most intense peaks (2θ from 10° to 90°), in order of falling intensity:
| hkl | d_spacing | 2theta | Rel. int. |
| --- | --- | --- | --- |
| 1 0 -1 | 7.404 | 12.0 | 100 |
| 2 1 -1 | 2.681 | 33.4 | 16 |
| 2 1 0 | 2.584 | 34.7 | 16 |
| 1 1 -3 | 2.332 | 38.6 | 14 |
| 2 0 -2 | 3.702 | 24.0 | 13 |
| 2 1 -4 | 1.931 | 47.1 | 13 |
| 0 2 0 | 1.741 | 52.6 | 9 |
| 1 0 3 | 2.403 | 37.4 | 9 |
| 2 1 1 | 2.312 | 39.0 | 9 |
| 1 1 1 | 2.833 | 31.6 | 9 |

Structure:
Cell lengths 8.408, 3.483, 9.424 Å; angles 90.00, 113.49, 90.00 degrees
Space group P2_1/m (No. 11)
One atom of each set of equivalent atoms:
K  0.246  0.250  0.257
Tc  0.087  0.250  0.620
Mo  0.302  0.750  0.842
S  0.112  0.250  0.874
S  0.231  0.750  0.562
S  0.468  0.750  0.131



Theoretical XRD peak list of KSbMo for Cu Ka, from a crystal structure in Alexandria, relaxed with PBE.
Peak positions follow from Bragg's law for the DFT cell and can differ from measured ones.

The 10 most intense peaks (2θ from 10° to 90°), in order of falling intensity:
| hkl | d_spacing | 2theta | Rel. int. |
| --- | --- | --- | --- |
| 0 1 1 | 3.275 | 27.2 | 100 |
| 0 0 1 | 5.489 | 16.1 | 78 |
| 1 1 0 | 2.356 | 38.2 | 58 |
| 1 1 2 | 1.788 | 51.1 | 48 |
| 1 1 1 | 2.165 | 41.7 | 43 |
| 0 0 2 | 2.745 | 32.6 | 30 |
| 2 0 1 | 1.912 | 47.6 | 20 |
| 1 0 0 | 4.080 | 21.8 | 18 |
| 1 2 1 | 1.485 | 62.6 | 17 |
| 3 0 2 | 1.219 | 78.5 | 13 |

Structure:
Cell lengths 4.7113, 4.7113, 5.4894 Å; angles 90.00, 90.00, 120.00 degrees
Space group P3m1 (No. 156)
One atom of each set of equivalent atoms:
K  0.0000  0.0000  0.0000
Sb  0.3333  0.6667  0.4990
Mo  0.6667  0.3333  0.5000



Theoretical XRD peak list of K2ScMo for Cu Ka, from a crystal structure in Alexandria, relaxed with PBE.
Peak positions follow from Bragg's law for the DFT cell and can differ from measured ones.

The 10 most intense peaks (2θ from 10° to 90°), in order of falling intensity:
| hkl | d_spacing | 2theta | Rel. int. |
| --- | --- | --- | --- |
| 1 0 2 | 2.947 | 30.3 | 100 |
| 1 0 -3 | 2.570 | 34.9 | 54 |
| 1 1 0 | 2.410 | 37.3 | 47 |
| 0 0 3 | 3.911 | 22.7 | 26 |
| 0 0 2 | 5.867 | 15.1 | 25 |
| 1 0 5 | 1.933 | 47.0 | 24 |
| 2 1 2 | 1.475 | 63.0 | 23 |
| 1 1 -1 | 2.361 | 38.1 | 18 |
| 1 1 -3 | 2.052 | 44.1 | 16 |
| 2 1 -3 | 1.420 | 65.7 | 15 |

Structure:
Cell lengths 3.408, 3.410, 11.734 Å; angles 90.00, 90.10, 90.00 degrees
Space group Pm (No. 6)
One atom of each set of equivalent atoms:
K  0.000  0.000  0.000
K  0.495  0.500  0.360
Sc  0.497  0.500  0.716
Mo  0.997  0.000  0.588



Theoretical XRD peak list of KScSn2Mo for Cu Ka, from a crystal structure in Alexandria, relaxed with PBE.
Peak positions follow from Bragg's law for the DFT cell and can differ from measured ones.

The 10 most intense peaks (2θ from 10° to 90°), in order of falling intensity:
| hkl | d_spacing | 2theta | Rel. int. |
| --- | --- | --- | --- |
| 1 1 1 | 3.047 | 29.3 | 100 |
| 2 0 0 | 2.780 | 32.2 | 60 |
| 2 0 2 | 1.821 | 50.1 | 38 |
| 3 1 1 | 1.652 | 55.6 | 34 |
| 0 0 2 | 2.410 | 37.3 | 29 |
| 2 2 0 | 1.966 | 46.2 | 22 |
| 4 2 2 | 1.105 | 88.5 | 21 |
| 2 2 2 | 1.523 | 60.8 | 19 |
| 1 0 0 | 5.560 | 15.9 | 17 |
| 4 0 2 | 1.204 | 79.6 | 13 |

Structure:
Cell lengths 5.560, 5.560, 4.821 Å; angles 90.00, 90.00, 90.00 degrees
Space group P4/mmm (No. 123)
One atom of each set of equivalent atoms:
K  0.000  0.000  0.000
Sc  0.500  0.500  0.500
Sn  0.000  0.500  0.000
Mo  0.000  0.000  0.500



Theoretical XRD peak list of K2MoSe5 for Cu Ka, from a crystal structure in Alexandria, relaxed with PBE.
Peak positions follow from Bragg's law for the DFT cell and can differ from measured ones.

The 10 most intense peaks (2θ from 10° to 90°), in order of falling intensity:
| hkl | d_spacing | 2theta | Rel. int. |
| --- | --- | --- | --- |
| 0 2 2 | 3.160 | 28.2 | 100 |
| 2 2 0 | 2.353 | 38.3 | 89 |
| 0 1 1 | 6.320 | 14.0 | 82 |
| 0 0 2 | 5.574 | 15.9 | 68 |
| 2 0 2 | 2.627 | 34.1 | 60 |
| 2 2 4 | 1.798 | 50.8 | 53 |
| 0 0 4 | 2.787 | 32.1 | 50 |
| 1 0 1 | 5.254 | 16.9 | 39 |
| 1 2 1 | 3.098 | 28.8 | 35 |
| 2 2 2 | 2.167 | 41.7 | 25 |

Structure:
Cell lengths 5.957, 7.673, 11.148 Å; angles 90.00, 90.00, 90.00 degrees
Space group Imm2 (No. 44)
One atom of each set of equivalent atoms:
K  0.000  0.000  0.000
K  0.000  0.000  0.452
Mo  0.000  0.500  0.171
Se  0.000  0.500  0.965
Se  0.234  0.231  0.735